Starting from a cell relaxed with GGA-PBE, the XRD peak list of LiMgTeO4 was computed for copper Kα.
Kinematic intensities with the Lorentz-polarization factor, no thermal factor.

Atomic structure:
```
data_LiMgTeO4
_cell_length_a 6.134
_cell_length_b 6.501
_cell_length_c 8.704
_cell_angle_alpha 90.00
_cell_angle_beta 90.00
_cell_angle_gamma 90.00
_space_group_name_H-M_alt 'I m m a'
_space_group_IT_number 74
_space_group_name_Hall '-I 2b 2'
loop_
_atom_site_label
_atom_site_type_symbol
_atom_site_fract_x
_atom_site_fract_y
_atom_site_fract_z
Li1 Li 0.000 0.250 0.146
Mg1 Mg 0.250 0.250 0.750
Te1 Te 0.000 0.000 0.500
O1 O 0.000 0.028 0.731
O2 O 0.224 0.250 0.501
```

Main lines, in order of rising 2θ (5 to 70 degrees two-theta):
2θ (°)	d_spacing	intensity	h k l
17.69	5.014	100	1 0 1
20.41	4.352	20	0 0 2
32.84	2.728	39	1 2 1
34.19	2.623	17	1 0 3
40.43	2.231	30	2 2 0
41.50	2.176	14	0 0 4
44.38	2.041	12	1 2 3
45.70	1.985	10	2 2 2
54.02	1.697	12	3 2 1
59.33	1.558	18	2 2 4

***

Starting from a cell relaxed with GGA-PBE, the XRD peak list of Li3MgTi8O16 was computed for copper Kα.
Kinematic intensities with the Lorentz-polarization factor, no thermal factor.

Atomic structure:
```
data_Li3MgTi8O16
_cell_length_a 5.9801
_cell_length_b 5.9801
_cell_length_c 29.6203
_cell_angle_alpha 90.00
_cell_angle_beta 90.00
_cell_angle_gamma 120.00
_space_group_name_H-M_alt 'R 3 m'
_space_group_IT_number 160
_space_group_name_Hall 'R 3 -2"'
loop_
_atom_site_label
_atom_site_type_symbol
_atom_site_fract_x
_atom_site_fract_y
_atom_site_fract_z
Li1 Li 0.0000 0.0000 0.0000
Li2 Li 0.0000 0.0000 0.1204
Li3 Li 0.0000 0.0000 0.4953
Mg1 Mg 0.0000 0.0000 0.3102
Ti1 Ti 0.0000 0.0000 0.6208
Ti2 Ti 0.0000 0.0000 0.8079
Ti3 Ti 0.0075 0.5037 0.5568
Ti4 Ti 0.0081 0.5040 0.0592
O1 O 0.0000 0.0000 0.1914
O2 O 0.0000 0.0000 0.4290
O3 O 0.0000 0.0000 0.6860
O4 O 0.0000 0.0000 0.9273
O5 O 0.0106 0.5053 0.9323
O6 O 0.0355 0.5177 0.4315
O7 O 0.1810 0.3619 0.0216
O8 O 0.1819 0.3638 0.5186
```

Main lines, in order of rising 2θ (5 to 70 degrees two-theta):
2θ (°)	d_spacing	intensity	h k l
17.38	5.102	15	1 0 1
17.97	4.937	50	0 0 6
18.15	4.889	80	0 1 2
34.89	2.571	26	1 0 10
35.13	2.555	90	2 0 2
42.61	2.122	100	2 0 8
56.14	1.638	14	2 0 14
56.34	1.633	20	2 1 10
61.58	1.506	40	0 2 16
62.08	1.495	40	2 2 0

***

Starting from a cell relaxed with GGA-PBE, the XRD peak list of Li2MgTi3O8 was computed for copper Kα.
Kinematic intensities with the Lorentz-polarization factor, no thermal factor.

Atomic structure:
```
data_Li2MgTi3O8
_cell_length_a 8.455
_cell_length_b 8.455
_cell_length_c 8.455
_cell_angle_alpha 90.00
_cell_angle_beta 90.00
_cell_angle_gamma 90.00
_space_group_name_H-M_alt 'P 21 3'
_space_group_IT_number 198
_space_group_name_Hall 'P 2ac 2ab 3'
loop_
_atom_site_label
_atom_site_type_symbol
_atom_site_fract_x
_atom_site_fract_y
_atom_site_fract_z
Li1 Li 0.002 0.498 0.502
Li2 Li 0.124 0.876 0.376
Mg1 Mg 0.248 0.748 0.752
Ti1 Ti 0.121 0.627 0.133
O1 O 0.106 0.129 0.389
O2 O 0.113 0.613 0.887
O3 O 0.122 0.146 0.858
O4 O 0.138 0.362 0.638
```

Main lines, in order of rising 2θ (5 to 70 degrees two-theta):
2θ (°)	d_spacing	intensity	h k l
14.82	5.978	26	1 1 0
18.17	4.881	100	1 1 1
23.53	3.781	38	2 1 0
25.81	3.452	22	2 1 1
29.89	2.989	9	2 2 0
35.21	2.549	95	3 1 1
42.78	2.114	86	4 0 0
56.56	1.627	42	5 1 1
62.10	1.495	71	4 4 0
65.29	1.429	12	5 3 1

***

Starting from a cell relaxed with GGA-PBE, the XRD peak list of Li2MgTi9O20 was computed for copper Kα.
Kinematic intensities with the Lorentz-polarization factor, no thermal factor.

Atomic structure:
```
data_Li2MgTi9O20
_cell_length_a 5.242
_cell_length_b 10.066
_cell_length_c 7.474
_cell_angle_alpha 90.00
_cell_angle_beta 110.02
_cell_angle_gamma 90.00
_space_group_name_H-M_alt 'P 1 m 1'
_space_group_IT_number 6
loop_
_space_group_symop_operation_xyz
'x,y,z'
'x,-y,z'
loop_
_atom_site_label
_atom_site_type_symbol
_atom_site_fract_x
_atom_site_fract_y
_atom_site_fract_z
Li1 Li 0.000 0.000 0.000
Li2 Li 0.062 0.500 0.307
Mg1 Mg 0.478 0.000 0.497
Ti1 Ti 0.086 0.311 0.974
Ti2 Ti 0.487 0.179 0.833
Ti3 Ti 0.576 0.500 0.802
Ti4 Ti 0.581 0.315 0.462
Ti5 Ti 0.977 0.182 0.333
O1 O 0.093 0.000 0.296
O2 O 0.213 0.142 0.923
O3 O 0.258 0.316 0.240
O4 O 0.309 0.188 0.557
O5 O 0.353 0.372 0.875
O6 O 0.462 0.500 0.531
O7 O 0.598 0.000 0.794
O8 O 0.707 0.136 0.425
O9 O 0.744 0.317 0.747
O10 O 0.809 0.198 0.059
O11 O 0.850 0.362 0.382
O12 O 0.929 0.500 0.993
```

Main lines, in order of rising 2θ (5 to 70 degrees two-theta):
2θ (°)	d_spacing	intensity	h k l
17.62	5.033	41	0 2 0
18.12	4.897	18	1 0 -1
20.16	4.405	18	1 1 -1
25.38	3.510	100	1 0 1
32.34	2.768	58	1 3 -1
40.99	2.202	16	2 2 -2
48.43	1.879	30	1 0 3
48.92	1.862	17	1 5 -1
59.44	1.555	18	0 3 4
59.97	1.543	16	2 3 -4